Structure and theoretical powder diffraction line list of Na6PbO5 (the GGA-PBE geometry in Alexandria; Cu Kα, 1.54184 Å).
Kinematic intensities with the Lorentz-polarization factor, no thermal factor.

```
data_Na6PbO5
_space_group_name_H-M_alt 'I 4 m m'
_space_group_IT_number 107
_space_group_name_Hall 'I 4 -2'
_cell_length_a 7.825
_cell_length_b 7.825
_cell_length_c 5.633
_cell_angle_alpha 90.00
_cell_angle_beta 90.00
_cell_angle_gamma 90.00
loop_
_atom_site_label
_atom_site_type_symbol
_atom_site_fract_x
_atom_site_fract_y
_atom_site_fract_z
Na1 Na 0.000 0.500 0.000
Na2 Na 0.198 0.198 0.100
Pb1 Pb 0.000 0.000 0.658
O1 O 0.000 0.000 0.278
O2 O 0.000 0.273 0.761
```

Most intense lines, 2θ from 5° to 70°, in order of rising 2θ:
(hkl), 2theta, I/Imax
1 1 0, 16.02, 65
1 0 1, 19.42, 100
2 0 0, 22.73, 38
2 1 1, 30.06, 73
2 2 0, 32.36, 30
1 1 2, 35.77, 35
3 0 1, 38.02, 51
3 1 2, 49.00, 27
4 1 1, 50.76, 20
2 1 3, 55.54, 22



Structure and theoretical powder diffraction line list of Na4PbO3 (the GGA-PBE geometry in Alexandria; Cu Kα, 1.54184 Å).
Kinematic intensities with the Lorentz-polarization factor, no thermal factor.

```
data_Na4PbO3
_space_group_name_H-M_alt 'C 1 c 1'
_space_group_IT_number 9
_cell_length_a 11.372
_cell_length_b 6.051
_cell_length_c 8.816
_cell_angle_alpha 90.00
_cell_angle_beta 113.36
_cell_angle_gamma 90.00
loop_
_space_group_symop_operation_xyz
'x,y,z'
'x,-y,z+1/2'
'x+1/2,y+1/2,z'
'x+1/2,-y+1/2,z+1/2'
loop_
_atom_site_label
_atom_site_type_symbol
_atom_site_fract_x
_atom_site_fract_y
_atom_site_fract_z
Na1 Na 0.000 0.144 0.000
Na2 Na 0.242 0.161 0.410
Na3 Na 0.308 0.259 0.109
Na4 Na 0.400 0.173 0.796
Pb1 Pb 0.120 0.327 0.745
O1 O 0.182 0.055 0.625
O2 O 0.303 0.485 0.315
O3 O 0.455 0.004 0.557
```

Most intense lines, 2θ from 5° to 70°, in order of rising 2θ:
(hkl), 2theta, I/Imax
2 0 0, 16.97, 73
1 1 -1, 18.26, 86
2 0 -2, 21.81, 44
0 0 2, 21.97, 100
1 1 -2, 24.99, 24
3 1 -1, 27.79, 37
4 0 -2, 32.63, 27
2 2 -1, 33.83, 41
1 1 -3, 34.24, 51
3 1 1, 35.14, 47



Structure and theoretical powder diffraction line list of NaPb3O6 (the GGA-PBE geometry in Alexandria; Cu Kα, 1.54184 Å).
Kinematic intensities with the Lorentz-polarization factor, no thermal factor.

```
data_NaPb3O6
_space_group_name_H-M_alt 'R 3'
_space_group_IT_number 146
_space_group_name_Hall 'R 3'
_cell_length_a 5.8189
_cell_length_b 5.8189
_cell_length_c 15.6155
_cell_angle_alpha 90.00
_cell_angle_beta 90.00
_cell_angle_gamma 120.00
loop_
_atom_site_label
_atom_site_type_symbol
_atom_site_fract_x
_atom_site_fract_y
_atom_site_fract_z
Na1 Na 0.0000 0.0000 0.0000
Pb1 Pb 0.0000 0.0000 0.2769
Pb2 Pb 0.0000 0.0000 0.4860
Pb3 Pb 0.0000 0.0000 0.7820
O1 O 0.0306 0.6710 0.5451
O2 O 0.0326 0.2999 0.3870
```

Most intense lines, 2θ from 5° to 70°, in order of rising 2θ:
(hkl), 2theta, I/Imax
1 0 1, 18.50, 31
0 1 2, 20.98, 47
1 0 4, 28.93, 98
1 1 0, 30.73, 100
1 1 3, 35.34, 17
0 2 4, 42.71, 40
1 1 6, 46.84, 47
2 1 4, 53.53, 40
3 0 0, 54.64, 29
1 0 10, 62.26, 20



Structure and theoretical powder diffraction line list of NaPbO2 (the GGA-PBE geometry in Alexandria; Cu Kα, 1.54184 Å).
Kinematic intensities with the Lorentz-polarization factor, no thermal factor.

```
data_NaPbO2
_space_group_name_H-M_alt 'C 1 2/c 1'
_space_group_IT_number 15
_cell_length_a 9.577
_cell_length_b 9.496
_cell_length_c 11.727
_cell_angle_alpha 90.00
_cell_angle_beta 90.65
_cell_angle_gamma 90.00
loop_
_space_group_symop_operation_xyz
'x,y,z'
'-x,-y,-z'
'-x,y,-z+1/2'
'x,-y,z+1/2'
'x+1/2,y+1/2,z'
'-x+1/2,-y+1/2,-z'
'-x+1/2,y+1/2,-z+1/2'
'x+1/2,-y+1/2,z+1/2'
loop_
_atom_site_label
_atom_site_type_symbol
_atom_site_fract_x
_atom_site_fract_y
_atom_site_fract_z
Na1 Na 0.119 0.239 0.135
Na2 Na 0.161 0.411 0.393
Pb1 Pb 0.010 0.099 0.884
Pb2 Pb 0.166 0.408 0.664
O1 O 0.000 0.067 0.250
O2 O 0.000 0.459 0.250
O3 O 0.027 0.299 0.531
O4 O 0.151 0.026 0.021
O5 O 0.161 0.189 0.753
```

Most intense lines, 2θ from 5° to 70°, in order of rising 2θ:
(hkl), 2theta, I/Imax
1 1 1, 15.21, 91
1 1 2, 20.15, 61
2 2 -1, 27.47, 96
3 1 0, 29.53, 100
0 0 4, 30.49, 32
1 3 1, 30.74, 65
1 1 4, 33.43, 32
2 2 3, 35.29, 57
1 3 -3, 37.69, 57
3 1 4, 43.20, 42



Structure and theoretical powder diffraction line list of Na3Pb4O9 (the GGA-PBE geometry in Alexandria; Cu Kα, 1.54184 Å).
Kinematic intensities with the Lorentz-polarization factor, no thermal factor.

```
data_Na3Pb4O9
_space_group_name_H-M_alt 'R 3'
_space_group_IT_number 146
_space_group_name_Hall 'R 3'
_cell_length_a 5.8739
_cell_length_b 5.8739
_cell_length_c 24.9104
_cell_angle_alpha 90.00
_cell_angle_beta 90.00
_cell_angle_gamma 120.00
loop_
_atom_site_label
_atom_site_type_symbol
_atom_site_fract_x
_atom_site_fract_y
_atom_site_fract_z
Na1 Na 0.0000 0.0000 0.0000
Na2 Na 0.0000 0.0000 0.1733
Na3 Na 0.0000 0.0000 0.5885
Pb1 Pb 0.0000 0.0000 0.3002
Pb2 Pb 0.0000 0.0000 0.4328
Pb3 Pb 0.0000 0.0000 0.7405
Pb4 Pb 0.0000 0.0000 0.8729
O1 O 0.0001 0.3837 0.5866
O2 O 0.0338 0.6216 0.0318
O3 O 0.0783 0.7103 0.4744
```

Most intense lines, 2θ from 5° to 70°, in order of rising 2θ:
(hkl), 2theta, I/Imax
0 1 2, 18.84, 100
1 1 0, 30.44, 87
1 0 7, 30.66, 81
2 0 2, 36.04, 13
0 2 7, 43.75, 39
1 1 9, 45.01, 46
3 -2 2, 47.87, 16
3 0 0, 54.08, 25
2 1 7, 54.23, 37
3 0 9, 64.44, 13



Structure and theoretical powder diffraction line list of NaPbO2 (the GGA-PBE geometry in Alexandria; Cu Kα, 1.54184 Å).
Kinematic intensities with the Lorentz-polarization factor, no thermal factor.

```
data_NaPbO2
_space_group_name_H-M_alt 'P n m a'
_space_group_IT_number 62
_cell_length_a 6.322
_cell_length_b 3.590
_cell_length_c 11.708
_cell_angle_alpha 90.00
_cell_angle_beta 90.00
_cell_angle_gamma 90.00
loop_
_space_group_symop_operation_xyz
'x,y,z'
'-x,-y,-z'
'-x+1/2,-y,z+1/2'
'x+1/2,y,-z+1/2'
'x+1/2,-y+1/2,-z+1/2'
'-x+1/2,y+1/2,z+1/2'
'-x,y+1/2,-z'
'x,-y+1/2,z'
loop_
_atom_site_label
_atom_site_type_symbol
_atom_site_fract_x
_atom_site_fract_y
_atom_site_fract_z
Na1 Na 0.088 0.250 0.125
Pb1 Pb 0.112 0.750 0.379
O1 O 0.090 0.250 0.776
O2 O 0.203 0.250 0.495
```

Most intense lines, 2θ from 5° to 70°, in order of rising 2θ:
(hkl), 2theta, I/Imax
1 0 1, 15.93, 92
1 0 2, 20.68, 77
0 1 1, 25.96, 59
2 0 1, 29.27, 43
0 0 4, 30.54, 39
1 1 2, 32.51, 100
2 0 3, 36.58, 41
2 1 4, 49.45, 42
0 2 0, 50.86, 40
1 1 6, 55.52, 37